The following is a simulated XRD peak list of TbEr4In2. It was derived from a crystal structure in Alexandria, relaxed with PBE, using Cu Ka.
Kinematic intensities with the Lorentz-polarization factor, no thermal factor.

Largest 12 diffraction maxima, low angle first, 10 to 90 degrees two-theta:
- 2θ = 28.99°, rel. 56, hkl 1 -2 1
- 2θ = 29.87°, rel. 36, hkl 1 0 -2
- 2θ = 30.38°, rel. 100, hkl -2 1 1
- 2θ = 32.43°, rel. 36, hkl 0 2 -1
- 2θ = 32.73°, rel. 54, hkl 2 -2 0
- 2θ = 33.41°, rel. 99, hkl 1 -1 2
- 2θ = 33.68°, rel. 89, hkl 1 1 -2
- 2θ = 34.28°, rel. 84, hkl 2 0 0
- 2θ = 35.01°, rel. 55, hkl 0 2 0
- 2θ = 35.73°, rel. 44, hkl -1 1 2
- 2θ = 37.30°, rel. 27, hkl -2 2 1
- 2θ = 58.13°, rel. 30, hkl -3 1 3

Atomic structure:
abc: 6.330 6.368 6.411
angles: 104.99 97.53 119.67
Space group P-1 (No. 2)
Asymmetric unit:
Tb: 0.000 0.000 0.000 x1
Er: 0.010 0.747 0.430 x2
Er: 0.400 0.700 0.114 x2
In: 0.495 0.261 0.380 x2